Structure and calculated X-ray diffraction stick pattern of LaMgTaFeO6 (a crystal structure in Alexandria, relaxed with PBE+U; CuKα).
Peak positions follow from Bragg's law for the DFT cell and can differ from measured ones.

Cell and atoms:
```
LaMgTaFeO6
1.0
5.4535 0.0000 0.0000
0.0000 5.6052 0.0000
-5.4244 0.0000 8.1038
La Mg Ta Fe O
2 2 2 2 12
Direct
0.0000 0.2095 0.0000 La
0.0000 0.7905 0.5000 La
0.5273 0.3008 0.5384 Mg
0.5273 0.6992 0.0384 Mg
0.2373 0.2467 0.7483 Ta
0.2373 0.7533 0.2483 Ta
0.7454 0.2523 0.2542 Fe
0.7454 0.7477 0.7542 Fe
0.1536 0.0598 0.3224 O
0.1536 0.9402 0.8224 O
0.3657 0.4879 0.1675 O
0.3657 0.5121 0.6675 O
0.4875 0.0526 0.6915 O
0.4875 0.9474 0.1915 O
0.5565 0.3293 0.9771 O
0.5565 0.6707 0.4771 O
0.8706 0.1988 0.5144 O
0.8706 0.8012 0.0144 O
0.9590 0.4317 0.7775 O
0.9590 0.5683 0.2775 O
```

Largest 10 diffraction maxima, sorted by position, 2θ from 10° to 90°:
hkl 0 1 1, 19.25°, I = 36
hkl 1 0 0, 19.62°, I = 31
hkl 1 1 -3, 31.81°, I = 100
hkl 0 2 0, 31.93°, I = 23
hkl 2 0 -2, 32.85°, I = 22
hkl 1 2 -2, 37.76°, I = 12
hkl 2 1 -3, 38.37°, I = 14
hkl 0 0 4, 44.73°, I = 13
hkl 2 2 -2, 46.46°, I = 23
hkl 1 3 -3, 56.83°, I = 18